For Cu10Hg2Sb4S13, a structure optimized by DFT (PBE) gives the computed XRD peak list in this record (Cu Kα, 1.54184 Å).

Crystal structure
```
data_Cu10Hg2Sb4S13
_space_group_name_H-M_alt 'I -4 2 m'
_space_group_IT_number 121
_space_group_name_Hall 'I -4 2'
_cell_length_a 10.447
_cell_length_b 10.447
_cell_length_c 10.887
_cell_angle_alpha 90.00
_cell_angle_beta 90.00
_cell_angle_gamma 90.00
loop_
_atom_site_label
_atom_site_fract_x
_atom_site_fract_y
_atom_site_fract_z
_atom_site_occupancy
Cu1 0.000 0.222 0.000 1
Cu2 0.000 0.267 0.500 1
Cu3 0.000 0.500 0.250 1
Hg1 0.000 0.000 0.241 1
Sb1 0.227 0.227 0.242 1
S1 0.000 0.000 0.000 1
S2 0.109 0.362 0.882 1
S3 0.133 0.133 0.612 1
```

Main lines, sorted by position (2θ = 10–90°):
| index | Position (°2θ) | intensity |
| --- | --- | --- |
| 1 1 0 | 11.98 | 9 |
| 2 2 0 | 24.10 | 8 |
| 2 2 2 | 29.22 | 100 |
| 0 0 4 | 32.91 | 11 |
| 4 0 0 | 34.34 | 17 |
| 4 0 4 | 48.30 | 34 |
| 4 4 0 | 49.35 | 14 |
| 2 2 6 | 56.51 | 14 |
| 6 2 2 | 58.38 | 19 |
| 6 2 6 | 78.29 | 10 |